[1]
The following is a theoretical X-ray diffraction stick pattern of Li2Mg2MnFeP4O16. It was derived from a crystal structure in the Materials Project, relaxed with GGA+U, using Cu Kα, 1.54184 Å.
Neutral-atom scattering factors, no anomalous dispersion.

Atomic structure:
a = 4.831 Å, b = 5.975 Å, c = 10.096 Å
α = 90.03°, β = 90.75°, γ = 90.39°
Space group P1 (No. 1)
Inequivalent atoms, fractional coordinates:
1 Li 0.000 0.000 0.000
2 Li 0.488 0.433 0.498
3 Mg 0.024 0.216 0.283
4 Mg 0.473 0.216 0.780
5 Mn 0.550 0.715 0.220
6 Fe 0.969 0.716 0.726
7 P 0.085 0.717 0.403
8 P 0.414 0.717 0.907
9 P 0.569 0.215 0.099
10 P 0.920 0.217 0.600
11 O 0.153 0.716 0.553
12 O 0.216 0.917 0.330
13 O 0.231 0.508 0.341
14 O 0.234 0.230 0.613
15 O 0.256 0.203 0.112
16 O 0.257 0.922 0.841
17 O 0.273 0.519 0.830
18 O 0.337 0.717 0.056
19 O 0.670 0.212 0.956
20 O 0.705 0.415 0.179
21 O 0.724 0.011 0.170
22 O 0.728 0.728 0.889
23 O 0.764 0.706 0.384
24 O 0.772 0.424 0.672
25 O 0.792 0.015 0.680
26 O 0.814 0.221 0.457

Most intense lines, 5° ≤ 2θ ≤ 70°, in order of rising 2θ:
2θ/deg	d [Å]	intensity	index
17.57	5.047	47.0	0 0 2
20.28	4.380	89.0	1 0 -1
20.49	4.335	77.1	1 0 1
23.07	3.856	78.8	0 1 -2
25.31	3.518	44.6	1 1 -1
29.91	2.988	100.0	0 2 0

[2]
The following is a theoretical X-ray diffraction stick pattern of Ni3SnP4O16. It was derived from a crystal structure in the Materials Project, relaxed with GGA+U, using Cu Kα, 1.54184 Å.
Neutral-atom scattering factors, no anomalous dispersion.

Atomic structure:
a = 4.845 Å, b = 5.877 Å, c = 9.970 Å
α = 90.00°, β = 90.20°, γ = 90.00°
Space group Pm (No. 6)
Inequivalent atoms, fractional coordinates:
1 Ni 0.000 0.000 0.000
2 Ni 0.091 0.500 0.452
3 Ni 0.589 0.000 0.497
4 Sn 0.508 0.500 0.948
5 P 0.137 0.000 0.322
6 P 0.458 0.000 0.814
7 P 0.640 0.500 0.623
8 P 0.950 0.500 0.137
9 O 0.207 0.000 0.172
10 O 0.265 0.500 0.115
11 O 0.282 0.204 0.396
12 O 0.307 0.204 0.890
13 O 0.325 0.500 0.614
14 O 0.379 0.000 0.666
15 O 0.724 0.500 0.774
16 O 0.767 0.000 0.837
17 O 0.784 0.295 0.551
18 O 0.803 0.297 0.058
19 O 0.821 0.000 0.335
20 O 0.879 0.500 0.284

Most intense lines, 5° ≤ 2θ ≤ 70°, in order of rising 2θ:
2θ/deg	d [Å]	intensity	index
17.79	4.985	66.9	0 0 2
20.38	4.357	55.0	1 0 1
25.44	3.501	100.0	1 1 -1
30.42	2.939	57.2	0 2 0
36.11	2.487	44.5	1 1 -3
36.21	2.481	40.8	1 1 3

[3]
The following is a theoretical X-ray diffraction stick pattern of Li4Co3O7. It was derived from a crystal structure in the Materials Project, relaxed with GGA+U, using Cu Kα, 1.54184 Å.
Neutral-atom scattering factors, no anomalous dispersion.

Atomic structure:
a = 5.102 Å, b = 7.679 Å, c = 7.690 Å
α = 60.51°, β = 71.31°, γ = 77.88°
Space group P-1 (No. 2)
Inequivalent atoms, fractional coordinates:
1 Li 0.000 0.000 0.000
2 Li 0.000 0.140 0.574
3 Li 0.005 0.569 0.282
4 Li 0.010 0.712 0.861
5 Li 0.500 0.500 0.000
6 Co 0.493 0.076 0.284
7 Co 0.493 0.641 0.575
8 Co 0.497 0.781 0.136
9 O 0.260 0.042 0.139
10 O 0.262 0.758 0.005
11 O 0.271 0.475 0.830
12 O 0.272 0.878 0.570
13 O 0.283 0.311 0.304
14 O 0.284 0.595 0.433
15 O 0.291 0.183 0.696

Most intense lines, 5° ≤ 2θ ≤ 70°, in order of rising 2θ:
2θ/deg	d [Å]	intensity	index
18.39	4.823	100.0	1 0 0
35.98	2.496	13.8	0 1 -2
36.20	2.482	13.6	0 3 1
43.62	2.075	27.3	1 1 -2
43.74	2.070	27.2	-1 3 1
43.92	2.061	26.3	2 2 3

[4]
The following is a theoretical X-ray diffraction stick pattern of LiNi2P3O11. It was derived from a crystal structure in the Materials Project, relaxed with GGA+U, using Cu Kα, 1.54184 Å.
Neutral-atom scattering factors, no anomalous dispersion.

Atomic structure:
a = 11.449 Å, b = 8.757 Å, c = 8.804 Å
α = 90.00°, β = 115.25°, γ = 90.00°
Space group C2 (No. 5)
Inequivalent atoms, fractional coordinates:
1 Li 0.245 0.000 0.270
2 Ni 0.125 0.990 0.795
3 Ni 0.126 0.481 0.295
4 P 0.000 0.190 0.000
5 P 0.000 0.281 0.500
6 P 0.115 0.669 0.966
7 P 0.117 0.802 0.468
8 O 0.000 0.729 0.500
9 O 0.000 0.744 0.000
10 O 0.057 0.186 0.660
11 O 0.059 0.565 0.810
12 O 0.060 0.283 0.161
13 O 0.065 0.905 0.312
14 O 0.109 0.080 0.003
15 O 0.110 0.389 0.502
16 O 0.191 0.575 0.127
17 O 0.192 0.802 0.947
18 O 0.192 0.896 0.629
19 O 0.194 0.664 0.458

Most intense lines, 5° ≤ 2θ ≤ 70°, in order of rising 2θ:
2θ/deg	d [Å]	intensity	index
14.77	5.999	79.7	1 1 -1
19.55	4.542	98.6	1 1 1
23.18	3.837	43.1	0 2 1
27.93	3.195	37.8	3 1 -2
30.34	2.946	100.0	0 2 2
34.24	2.619	37.0	3 1 -3

Number 1 is which compound? Li2Mg2MnFeP4O16

What is the formula in the fourth record? LiNi2P3O11

What is the formula in the second record? Ni3SnP4O16